Entry 1:
Computed powder diffractogram
Compound: Ag2Au3Cl6
Radiation: Cu Kα (λ = 1.5418 Å)
Structure: a GGA-PBE-relaxed structure
Peak positions follow from Bragg's law for the DFT cell and can differ from measured ones.

Main lines, in order of rising 2θ (5° ≤ 2θ ≤ 70°):
2θ (°)  d_spacing  I_rel  h k l
11.90  7.435  49.5  0 0 2
15.56  5.696  36.0  1 1 -1
23.94  3.717  57.9  0 0 4
25.99  3.428  100.0  3 1 -2
26.12  3.411  87.4  3 1 0
27.36  3.260  49.5  0 2 1
27.97  3.190  36.1  3 1 -3
28.21  3.163  30.7  3 1 1
29.31  3.047  49.1  0 2 2
46.31  1.960  35.6  3 3 -1

Crystal structure
```
data_Ag2Au3Cl6
_chemical_formula_sum 'Ag8 Au12 Cl24'
_space_group_name_H-M_alt 'C 1 2/c 1'
_space_group_IT_number 15
_cell_length_a 12.394
_cell_length_b 6.682
_cell_length_c 15.485
_cell_angle_alpha 90.00
_cell_angle_beta 106.22
_cell_angle_gamma 90.00
loop_
_space_group_symop_operation_xyz
'x,y,z'
'-x,-y,-z'
'-x,y,-z+1/2'
'x,-y,z+1/2'
'x+1/2,y+1/2,z'
'-x+1/2,-y+1/2,-z'
'-x+1/2,y+1/2,-z+1/2'
'x+1/2,-y+1/2,z+1/2'
loop_
_atom_site_label
_atom_site_type_symbol
_atom_site_fract_x
_atom_site_fract_y
_atom_site_fract_z
_atom_site_occupancy
Ag1 Ag 0.094 0.248 0.008 1
Au1 Au 0.000 0.015 0.250 1
Au2 Au 0.156 0.409 0.746 1
Cl1 Cl 0.057 0.057 0.403 1
Cl2 Cl 0.104 0.416 0.592 1
Cl3 Cl 0.218 0.432 0.900 1
```


Entry 2:
Computed powder diffractogram
Compound: Ag2AuCl4
Radiation: Cu Kα (λ = 1.5418 Å)
Structure: a GGA-PBE-relaxed structure
Peak positions follow from Bragg's law for the DFT cell and can differ from measured ones.

Main lines, in order of rising 2θ (5° ≤ 2θ ≤ 70°):
2θ (°)  d_spacing  I_rel  h k l
17.52  5.062  71.2  1 0 1
26.43  3.373  26.2  2 0 0
29.92  2.986  100.0  1 1 2
31.88  2.807  33.6  2 1 1
37.71  2.385  54.6  2 2 0
46.60  1.949  12.1  2 1 3
48.88  1.863  49.9  3 1 2
54.40  1.687  18.2  4 0 0
55.16  1.665  21.2  2 0 4
63.34  1.468  11.2  3 3 2

Crystal structure
```
data_Ag2AuCl4
_chemical_formula_sum 'Ag4 Au2 Cl8'
_space_group_name_H-M_alt 'I -4 2 m'
_space_group_IT_number 121
_space_group_name_Hall 'I -4 2'
_cell_length_a 6.745
_cell_length_b 6.745
_cell_length_c 7.660
_cell_angle_alpha 90.00
_cell_angle_beta 90.00
_cell_angle_gamma 90.00
loop_
_atom_site_label
_atom_site_type_symbol
_atom_site_fract_x
_atom_site_fract_y
_atom_site_fract_z
_atom_site_occupancy
Ag1 Ag 0.000 0.500 0.250 1
Au1 Au 0.000 0.000 0.000 1
Cl1 Cl 0.249 0.249 0.082 1
```


Entry 3:
Computed powder diffractogram
Compound: Ag2AuCl6
Radiation: Cu Kα (λ = 1.5418 Å)
Structure: a GGA-PBE-relaxed structure
Peak positions follow from Bragg's law for the DFT cell and can differ from measured ones.

Main lines, in order of rising 2θ (5° ≤ 2θ ≤ 70°):
2θ (°)  d_spacing  I_rel  h k l
15.06  5.884  100.0  0 1 1
20.20  4.395  18.3  0 1 2
22.14  4.016  26.8  1 1 1
23.90  3.723  94.9  1 0 2
31.39  2.850  21.3  1 2 -2
33.20  2.699  17.4  2 1 -3
33.54  2.672  19.8  1 1 3
41.90  2.156  25.3  1 3 -1
46.29  1.961  15.7  0 3 3
51.22  1.783  16.3  2 3 1

Crystal structure
```
data_Ag2AuCl6
_chemical_formula_sum 'Ag4 Au2 Cl12'
_space_group_name_H-M_alt 'P 1 21/c 1'
_space_group_IT_number 14
_cell_length_a 6.705
_cell_length_b 6.858
_cell_length_c 12.046
_cell_angle_alpha 90.00
_cell_angle_beta 108.09
_cell_angle_gamma 90.00
loop_
_space_group_symop_operation_xyz
'x,y,z'
'-x,-y,-z'
'-x,y+1/2,-z+1/2'
'x,-y+1/2,z+1/2'
loop_
_atom_site_label
_atom_site_type_symbol
_atom_site_fract_x
_atom_site_fract_y
_atom_site_fract_z
_atom_site_occupancy
Ag1 Ag 0.139 0.149 0.165 1
Au1 Au 0.500 0.000 0.000 1
Cl1 Cl 0.073 0.025 0.734 1
Cl2 Cl 0.271 0.669 0.577 1
Cl3 Cl 0.391 0.211 0.565 1
```


Entry 4:
Computed powder diffractogram
Compound: Ag6AuCl12
Radiation: Cu Kα (λ = 1.5418 Å)
Structure: a GGA-PBE-relaxed structure
Peak positions follow from Bragg's law for the DFT cell and can differ from measured ones.

Main lines, in order of rising 2θ (5° ≤ 2θ ≤ 70°):
2θ (°)  d_spacing  I_rel  h k l
11.06  8.000  21.6  1 0 1
18.82  4.715  100.0  0 0 3
22.22  4.000  23.9  2 0 2
25.09  3.549  98.9  2 1 1
27.40  3.255  37.5  3 -2 2
35.26  2.545  71.9  2 1 4
40.27  2.240  24.4  3 -2 5
42.72  2.117  31.2  1 4 0
47.06  1.931  42.6  5 -1 3
50.18  1.818  19.5  6 -4 1

Crystal structure
```
data_Ag6AuCl12
_chemical_formula_sum 'Ag18 Au3 Cl36'
_space_group_name_H-M_alt 'R -3'
_space_group_IT_number 148
_space_group_name_Hall '-R 3'
_cell_length_a 11.2011
_cell_length_b 11.2011
_cell_length_c 14.1440
_cell_angle_alpha 90.00
_cell_angle_beta 90.00
_cell_angle_gamma 120.00
loop_
_atom_site_label
_atom_site_type_symbol
_atom_site_fract_x
_atom_site_fract_y
_atom_site_fract_z
_atom_site_occupancy
Ag1 Ag 0.0314 0.2551 0.1766 1
Au1 Au 0.0000 0.0000 0.5000 1
Cl1 Cl 0.0211 0.1959 0.8752 1
Cl2 Cl 0.1021 0.2100 0.3992 1
```


Entry 5:
Computed powder diffractogram
Compound: Ag2AuCl4
Radiation: Cu Kα (λ = 1.5418 Å)
Structure: a GGA-PBE-relaxed structure
Peak positions follow from Bragg's law for the DFT cell and can differ from measured ones.

Main lines, in order of rising 2θ (5° ≤ 2θ ≤ 70°):
2θ (°)  d_spacing  I_rel  h k l
21.46  4.141  56.2  1 1 2
21.84  4.070  99.5  1 0 3
28.05  3.181  44.4  2 0 2
29.03  3.076  100.0  2 1 1
32.49  2.756  41.2  1 0 5
42.43  2.131  28.8  3 1 2
42.63  2.121  18.5  3 0 3
43.72  2.070  69.0  2 2 4
47.01  1.933  29.8  3 2 1
51.68  1.769  21.5  2 1 7

Crystal structure
```
data_Ag2AuCl4
_chemical_formula_sum 'Ag8 Au4 Cl16'
_space_group_name_H-M_alt 'I 41/a'
_space_group_IT_number 88
_cell_length_a 7.028
_cell_length_b 7.028
_cell_length_c 14.978
_cell_angle_alpha 90.00
_cell_angle_beta 90.00
_cell_angle_gamma 90.00
loop_
_space_group_symop_operation_xyz
'x,y,z'
'-x,-y,-z'
'-y+3/4,x+1/4,z+1/4'
'y+3/4,-x+1/4,-z+1/4'
'-x+1/2,-y,z+1/2'
'x+1/2,y,-z+1/2'
'y+3/4,-x+3/4,z+3/4'
'-y+3/4,x+3/4,-z+3/4'
'x+1/2,y+1/2,z+1/2'
'-x+1/2,-y+1/2,-z+1/2'
'-y+1/4,x+3/4,z+3/4'
'y+1/4,-x+3/4,-z+3/4'
'-x,-y+1/2,z'
'x,y+1/2,-z'
'y+1/4,-x+1/4,z+1/4'
'-y+1/4,x+1/4,-z+1/4'
loop_
_atom_site_label
_atom_site_type_symbol
_atom_site_fract_x
_atom_site_fract_y
_atom_site_fract_z
_atom_site_occupancy
Ag1 Ag 0.000 0.000 0.000 1
Au1 Au 0.000 0.250 0.625 1
Cl1 Cl 0.200 0.462 0.385 1
```


Entry 6:
Computed powder diffractogram
Compound: AgAuCl6
Radiation: Cu Kα (λ = 1.5418 Å)
Structure: a GGA-PBE-relaxed structure
Peak positions follow from Bragg's law for the DFT cell and can differ from measured ones.

Main lines, in order of rising 2θ (5° ≤ 2θ ≤ 70°):
2θ (°)  d_spacing  I_rel  h k l
18.95  4.682  100.0  0 1 2
26.30  3.389  35.2  1 0 4
27.55  3.238  15.3  1 1 0
31.82  2.812  20.1  1 1 3
33.65  2.663  16.0  2 0 2
38.45  2.341  18.8  0 2 4
42.37  2.133  39.1  1 1 6
44.02  2.057  19.7  1 2 2
47.95  1.897  16.6  2 1 4
48.71  1.870  18.4  3 0 0

Crystal structure
```
data_AgAuCl6
_chemical_formula_sum 'Ag3 Au3 Cl18'
_space_group_name_H-M_alt 'R -3'
_space_group_IT_number 148
_space_group_name_Hall '-R 3'
_cell_length_a 6.4763
_cell_length_b 6.4763
_cell_length_c 17.0112
_cell_angle_alpha 90.00
_cell_angle_beta 90.00
_cell_angle_gamma 120.00
loop_
_atom_site_label
_atom_site_type_symbol
_atom_site_fract_x
_atom_site_fract_y
_atom_site_fract_z
_atom_site_occupancy
Ag1 Ag 0.0000 0.0000 0.0000 1
Au1 Au 0.0000 0.0000 0.5000 1
Cl1 Cl 0.0152 0.7034 0.5813 1
```


Entry 7:
Computed powder diffractogram
Compound: KAgAuCl6
Radiation: Cu Kα (λ = 1.5418 Å)
Structure: a GGA-PBE-relaxed structure
Peak positions follow from Bragg's law for the DFT cell and can differ from measured ones.

Main lines, in order of rising 2θ (5° ≤ 2θ ≤ 70°):
2θ (°)  d_spacing  I_rel  h k l
13.48  6.568  44.9  0 0 1
13.60  6.510  100.0  1 0 0
17.50  5.067  54.9  1 0 -1
20.76  4.280  35.2  1 0 1
21.29  4.173  37.6  1 -1 1
21.56  4.121  33.2  0 1 1
22.99  3.869  71.6  -1 1 1
31.22  2.865  57.4  -2 1 1
31.35  2.853  24.1  1 2 -1
37.02  2.428  31.3  2 1 -2

Crystal structure
```
data_KAgAuCl6
_chemical_formula_sum 'K1 Ag1 Au1 Cl6'
_space_group_name_H-M_alt 'P 1'
_space_group_IT_number 1
_cell_length_a 6.659
_cell_length_b 6.866
_cell_length_c 6.892
_cell_angle_alpha 104.42
_cell_angle_beta 97.29
_cell_angle_gamma 97.50
loop_
_space_group_symop_operation_xyz
'x,y,z'
loop_
_atom_site_label
_atom_site_type_symbol
_atom_site_fract_x
_atom_site_fract_y
_atom_site_fract_z
_atom_site_occupancy
K1 K 0.000 0.000 0.000 1
Ag1 Ag 0.501 0.316 0.682 1
Au1 Au 0.501 0.660 0.342 1
Cl1 Cl 0.269 0.013 0.665 1
Cl2 Cl 0.283 0.375 0.374 1
Cl3 Cl 0.289 0.662 0.050 1
Cl4 Cl 0.713 0.953 0.340 1
Cl5 Cl 0.720 0.626 0.623 1
Cl6 Cl 0.732 0.336 0.985 1
```


Entry 8:
Computed powder diffractogram
Compound: Na2AgAuCl6
Radiation: Cu Kα (λ = 1.5418 Å)
Structure: a GGA-PBE-relaxed structure
Peak positions follow from Bragg's law for the DFT cell and can differ from measured ones.

Main lines, in order of rising 2θ (5° ≤ 2θ ≤ 70°):
2θ (°)  d_spacing  I_rel  h k l
16.41  5.403  100.0  1 0 0
17.69  5.013  83.6  1 1 1
17.94  4.945  83.5  0 1 -1
21.80  4.077  62.6  0 1 1
23.86  3.730  40.6  1 -1 1
24.66  3.610  29.2  1 0 2
24.94  3.570  27.6  1 1 -1
26.03  3.423  30.1  1 -1 0
36.57  2.457  28.7  1 2 2
39.48  2.283  32.0  2 1 3

Crystal structure
```
data_Na2AgAuCl6
_chemical_formula_sum 'Na2 Ag1 Au1 Cl6'
_space_group_name_H-M_alt 'P 1'
_space_group_IT_number 1
_cell_length_a 6.774
_cell_length_b 6.966
_cell_length_c 7.263
_cell_angle_alpha 88.24
_cell_angle_beta 62.30
_cell_angle_gamma 66.49
loop_
_space_group_symop_operation_xyz
'x,y,z'
loop_
_atom_site_label
_atom_site_type_symbol
_atom_site_fract_x
_atom_site_fract_y
_atom_site_fract_z
_atom_site_occupancy
Na1 Na 0.000 0.000 0.000 1
Na2 Na 0.052 0.496 0.493 1
Ag1 Ag 0.607 0.698 0.080 1
Au1 Au 0.626 0.198 0.578 1
Cl1 Cl 0.041 0.619 0.857 1
Cl2 Cl 0.170 0.791 0.274 1
Cl3 Cl 0.490 0.985 0.817 1
Cl4 Cl 0.495 0.097 0.365 1
Cl5 Cl 0.754 0.307 0.791 1
Cl6 Cl 0.781 0.399 0.327 1
```


Q: What is the formula in the third record?
A: Ag2AuCl6


Repeat the sixth record exactly.
Computed powder diffractogram
Compound: AgAuCl6
Radiation: Cu Kα (λ = 1.5418 Å)
Structure: a GGA-PBE-relaxed structure
Peak positions follow from Bragg's law for the DFT cell and can differ from measured ones.

Main lines, in order of rising 2θ (5° ≤ 2θ ≤ 70°):
2θ (°)  d_spacing  I_rel  h k l
18.95  4.682  100.0  0 1 2
26.30  3.389  35.2  1 0 4
27.55  3.238  15.3  1 1 0
31.82  2.812  20.1  1 1 3
33.65  2.663  16.0  2 0 2
38.45  2.341  18.8  0 2 4
42.37  2.133  39.1  1 1 6
44.02  2.057  19.7  1 2 2
47.95  1.897  16.6  2 1 4
48.71  1.870  18.4  3 0 0

Crystal structure
```
data_AgAuCl6
_chemical_formula_sum 'Ag3 Au3 Cl18'
_space_group_name_H-M_alt 'R -3'
_space_group_IT_number 148
_space_group_name_Hall '-R 3'
_cell_length_a 6.4763
_cell_length_b 6.4763
_cell_length_c 17.0112
_cell_angle_alpha 90.00
_cell_angle_beta 90.00
_cell_angle_gamma 120.00
loop_
_atom_site_label
_atom_site_type_symbol
_atom_site_fract_x
_atom_site_fract_y
_atom_site_fract_z
_atom_site_occupancy
Ag1 Ag 0.0000 0.0000 0.0000 1
Au1 Au 0.0000 0.0000 0.5000 1
Cl1 Cl 0.0152 0.7034 0.5813 1
```